Simulated XRD peak list of TlFe3Cl8 for a wavelength of 1.5418 Å, from a GGA-PBE-relaxed structure.
Lines closer than 0.1° are merged.

Principal peaks in the range 10° ≤ 2θ ≤ 80°, by angle:
- 15.10 deg, intensity 47
- 17.07 deg, intensity 54
- 18.30 deg, intensity 74
- 18.88 deg, intensity 29
- 23.96 deg, intensity 62
- 25.08 deg, intensity 100
- 28.67 deg, intensity 61
- 31.55 deg, intensity 41
- 31.77 deg, intensity 45
- 48.90 deg, intensity 33

Atomic structure:
```
data_TlFe3Cl8
_cell_length_a 10.429
_cell_length_b 7.112
_cell_length_c 9.260
_cell_angle_alpha 90.00
_cell_angle_beta 94.82
_cell_angle_gamma 90.00
_space_group_name_H-M_alt 'C 1 2/m 1'
_space_group_IT_number 12
loop_
_space_group_symop_operation_xyz
'x,y,z'
'-x,-y,-z'
'-x,y,-z'
'x,-y,z'
'x+1/2,y+1/2,z'
'-x+1/2,-y+1/2,-z'
'-x+1/2,y+1/2,-z'
'x+1/2,-y+1/2,z'
loop_
_atom_site_label
_atom_site_type_symbol
_atom_site_fract_x
_atom_site_fract_y
_atom_site_fract_z
Tl1 Tl 0.000 0.000 0.000
Fe1 Fe 0.000 0.000 0.500
Fe2 Fe 0.124 0.500 0.295
Cl1 Cl 0.009 0.243 0.695
Cl2 Cl 0.196 0.500 0.077
Cl3 Cl 0.233 0.000 0.509
```